Starting from a DFT-relaxed cell (GGA+U, the Materials Project), the PXRD pattern of K2Be2NiH6F8 was computed for Cu Kα (λ = 1.5418 Å).
Intensities are scaled so that the largest is 100.

Cell and atoms:
```
data_K2Be2NiH6F8
_chemical_formula_sum 'K4 Be4 Ni2 H12 F16'
_space_group_name_H-M_alt 'P 1 21/c 1'
_space_group_IT_number 14
_cell_length_a 5.936
_cell_length_b 11.724
_cell_length_c 7.899
_cell_angle_alpha 90.00
_cell_angle_beta 103.54
_cell_angle_gamma 90.00
loop_
_space_group_symop_operation_xyz
'x,y,z'
'-x,-y,-z'
'-x,y+1/2,-z+1/2'
'x,-y+1/2,z+1/2'
loop_
_atom_site_label
_atom_site_type_symbol
_atom_site_fract_x
_atom_site_fract_y
_atom_site_fract_z
K1 K 0.188 0.145 0.371
Be1 Be 0.230 0.679 0.863
Ni1 Ni 0.500 0.000 0.000
H1 H 0.379 0.610 0.550
H2 H 0.386 0.568 0.265
H3 H 0.487 0.597 0.635
F1 F 0.072 0.738 0.421
F2 F 0.131 0.571 0.781
F3 F 0.338 0.573 0.137
F4 F 0.472 0.715 0.868
```

Most intense lines, 5° ≤ 2θ ≤ 70°, by intensity:
2θ/deg  d_spacing  intensity  index
31.4  2.849  100  2 1 -1
25.6  3.483  78  0 3 1
22.6  3.928  78  1 1 1
24.7  3.610  63  1 0 -2
28.5  3.133  59  1 3 -1
34.5  2.599  56  1 2 2
35.1  2.558  54  1 4 -1
35.9  2.501  52  0 1 3
32.7  2.739  42  0 3 2
21.6  4.112  40  1 2 0